# Ga2NiP3H8NO14
Simulated powder diffractogram, copper Kα. Input: a crystal structure in Alexandria, relaxed with GGA+U.

The 6 most intense peaks (15° ≤ 2θ ≤ 90°), most intense first:
| Position (°2θ) | intensity | hkl |
| --- | --- | --- |
| 16.54 | 100 | 1 1 1 |
| 29.21 | 57 | 4 0 -2 |
| 28.29 | 41 | 2 0 2 |
| 33.38 | 29 | 3 3 -1 |
| 28.41 | 25 | 1 3 -1 |
| 26.35 | 19 | 2 2 1 |

Cell and atoms:
Lattice parameters (Å, degrees): 13.5153 10.1607 8.9953 90.00 107.63 90.00
Space group C2/c (No. 15)
One atom of each set of equivalent atoms:
Ga1 0.1712 0.0735 0.0667 (multiplicity 8)
Ni1 0.0000 0.2747 0.2500 (multiplicity 4)
P1 0.0000 0.0007 0.7500 (multiplicity 4)
P2 0.2103 0.3731 0.1802 (multiplicity 8)
H1 0.0373 0.3166 0.8417 (multiplicity 8)
H2 0.0518 0.4385 0.7182 (multiplicity 8)
H3 0.1406 0.2242 0.5441 (multiplicity 8)
H4 0.1456 0.3734 0.4942 (multiplicity 8)
N1 0.0000 0.3765 0.7500 (multiplicity 4)
O1 0.0591 0.0941 0.8830 (multiplicity 8)
O2 0.0709 0.0976 0.1962 (multiplicity 8)
O3 0.0991 0.2965 0.4810 (multiplicity 8)
O4 0.1000 0.3989 0.1870 (multiplicity 8)
O5 0.2062 0.0922 0.6601 (multiplicity 8)
O6 0.2264 0.4593 0.0468 (multiplicity 8)
O7 0.2358 0.2271 0.1580 (multiplicity 8)